[1]
This entry pairs a crystal structure of Ba2Ca2Tl3 with its theoretical powder diffractogram. Radiation: Cu Ka. Structure: a crystal structure in Alexandria, relaxed with GGA-PBE.
No peak broadening, texture or thermal motion is included.

Largest 10 diffraction maxima, low angle first, 10° ≤ 2θ ≤ 80°:
d 4.796, 18.50°, I = 38; d 4.065, 21.87°, I = 15; d 3.193, 27.94°, I = 25; d 2.947, 30.33°, I = 100; d 2.806, 31.89°, I = 94; d 2.032, 44.58°, I = 35; d 1.732, 52.87°, I = 17; d 1.646, 55.86°, I = 36; d 1.620, 56.83°, I = 18; d 1.267, 74.97°, I = 15

Structural model:
Unit cell a=10.4019 b=10.4019 c=10.4019 alpha=31.30 beta=31.30 gamma=31.30
Fractional coordinates of all 7 atoms:
Ba: 0.1227 0.1227 0.1227
Ba: 0.8773 0.8773 0.8773
Ca: 0.3697 0.3697 0.3697
Ca: 0.6303 0.6303 0.6303
Tl: 0.0000 0.0000 0.0000
Tl: 0.2572 0.2572 0.2572
Tl: 0.7428 0.7428 0.7428

***

[2]
This entry pairs a crystal structure of NdAg6Au2 with its theoretical powder diffractogram. Radiation: Cu Ka. Structure: a crystal structure in Alexandria, relaxed with GGA-PBE.
No peak broadening, texture or thermal motion is included.

Largest 10 diffraction maxima, low angle first, 10° ≤ 2θ ≤ 80°:
d 2.638, 33.98°, I = 48; d 2.401, 37.46°, I = 100; d 2.382, 37.76°, I = 99; d 2.227, 40.50°, I = 45; d 2.172, 41.59°, I = 17; d 1.860, 48.99°, I = 15; d 1.689, 54.31°, I = 14; d 1.382, 67.79°, I = 13; d 1.276, 74.32°, I = 19; d 1.275, 74.42°, I = 13

Structural model:
Unit cell a=8.4277 b=8.4277 c=3.0200 alpha=100.22 beta=100.22 gamma=58.48
Fractional coordinates of all 9 atoms:
Nd: 0.0000 0.0000 0.0000
Ag: 0.0027 0.6486 0.3255
Ag: 0.3340 0.6660 0.5000
Ag: 0.3514 0.9973 0.6745
Ag: 0.6486 0.0027 0.3255
Ag: 0.6660 0.3340 0.5000
Ag: 0.9973 0.3514 0.6745
Au: 0.3474 0.3474 0.8469
Au: 0.6526 0.6526 0.1531